1.
For Y2Er2Ni, DFT lattice parameters and positions (PBE) gives the calculated powder diffractogram in this record (Cu Kα X-rays).
Lines closer than 0.1° are merged.

Top 8 peaks for 10° ≤ 2θ ≤ 80°, by angle:
| 2θ (°) | I/Imax | hkl |
| --- | --- | --- |
| 25.43 | 27.7 | 1 0 2 |
| 31.57 | 62.3 | 1 0 3 |
| 33.70 | 100.0 | 1 1 0 |
| 38.69 | 19.3 | 1 0 4 |
| 46.84 | 20.6 | 2 0 3 |
| 48.05 | 14.9 | 1 1 4 |
| 58.94 | 20.6 | 2 1 3 |
| 60.27 | 18.4 | 3 0 0 |

Crystal structure
Cell lengths 5.3192, 5.3192, 10.7852 Å; angles 90.00, 90.00, 120.00 degrees
Space group P6_3/mmc (No. 194)
Asymmetric unit:
Y (0.3333, 0.6667, 0.0970) (multiplicity 4)
Er (0.0000, 0.0000, 0.0000) (multiplicity 2)
Er (0.3333, 0.6667, 0.7500) (multiplicity 2)
Ni (0.0000, 0.0000, 0.2500) (multiplicity 2)

***

2.
For Er2Zr2Ni, DFT lattice parameters and positions (PBE) gives the calculated powder diffractogram in this record (Cu Kα X-rays).
Lines closer than 0.1° are merged.

Top 8 peaks for 10° ≤ 2θ ≤ 80°, by angle:
| 2θ (°) | I/Imax | hkl |
| --- | --- | --- |
| 33.14 | 97.5 | 1 0 3 |
| 36.05 | 100.0 | 1 1 0 |
| 40.50 | 21.5 | 1 0 4 |
| 49.78 | 31.0 | 2 0 3 |
| 62.99 | 30.5 | 2 1 3 |
| 64.83 | 17.6 | 3 0 0 |
| 65.60 | 14.5 | 1 1 6 |
| 76.48 | 11.8 | 2 2 0 |

Crystal structure
Cell lengths 4.9822, 4.9822, 10.4026 Å; angles 90.00, 90.00, 120.00 degrees
Space group P6_3/mmc (No. 194)
Asymmetric unit:
Er (0.3333, 0.6667, 0.0924) (multiplicity 4)
Zr (0.0000, 0.0000, 0.0000) (multiplicity 2)
Zr (0.3333, 0.6667, 0.7500) (multiplicity 2)
Ni (0.0000, 0.0000, 0.2500) (multiplicity 2)

***

3.
For ErNpS3, DFT lattice parameters and positions (PBE) gives the calculated powder diffractogram in this record (Cu Kα X-rays).
Lines closer than 0.1° are merged.

Top 8 peaks for 10° ≤ 2θ ≤ 80°, by angle:
| 2θ (°) | I/Imax | hkl |
| --- | --- | --- |
| 23.67 | 100.0 | 0 2 2 |
| 26.22 | 39.9 | 1 1 1 |
| 28.40 | 22.4 | 0 4 0 |
| 33.19 | 46.9 | 1 3 1 |
| 37.22 | 19.3 | 1 3 2 |
| 37.91 | 30.0 | 1 1 3 |
| 47.52 | 34.0 | 0 6 2 |
| 53.96 | 22.6 | 2 2 2 |

Crystal structure
Cell lengths 3.8104, 12.5688, 9.3781 Å; angles 90.00, 90.00, 90.00 degrees
Space group C222_1 (No. 20)
Asymmetric unit:
Er (0.0010, 0.0000, 0.0000) (multiplicity 4)
Np (0.0000, 0.2512, 0.2500) (multiplicity 4)
S (0.0000, 0.0938, 0.7500) (multiplicity 4)
S (0.0006, 0.3552, 0.9317) (multiplicity 8)

***

4.
For ErP3O9, DFT lattice parameters and positions (PBE) gives the calculated powder diffractogram in this record (Cu Kα X-rays).
Lines closer than 0.1° are merged.

Top 8 peaks for 10° ≤ 2θ ≤ 80°, by angle:
| 2θ (°) | I/Imax | hkl |
| --- | --- | --- |
| 15.81 | 59.3 | 1 1 0 |
| 18.37 | 22.3 | 0 2 0 |
| 18.92 | 28.8 | 0 1 2 |
| 22.74 | 39.6 | 1 1 -2 |
| 24.80 | 100.0 | 0 2 2 |
| 25.90 | 26.6 | 2 0 0 |
| 28.61 | 20.8 | 2 1 -1 |
| 28.94 | 24.4 | 2 1 1 |

Crystal structure
Cell lengths 6.8830, 9.6597, 10.7342 Å; angles 90.00, 91.24, 90.00 degrees
Space group Pm (No. 6)
Asymmetric unit:
Er (0.0000, 0.0000, 0.0000) (multiplicity 1)
Er (0.1460, 0.0000, 0.5218) (multiplicity 1)
Er (0.4766, 0.5000, 0.4503) (multiplicity 1)
Er (0.6245, 0.5000, 0.9721) (multiplicity 1)
P (0.0489, 0.2419, 0.7521) (multiplicity 2)
P (0.1385, 0.5000, 0.8860) (multiplicity 1)
P (0.4860, 0.0000, 0.0828) (multiplicity 1)
P (0.5754, 0.2577, 0.2197) (multiplicity 2)
P (0.6297, 0.0000, 0.6122) (multiplicity 1)
P (0.6359, 0.2846, 0.7026) (multiplicity 2)
P (0.9869, 0.2150, 0.2699) (multiplicity 2)
P (0.9924, 0.5000, 0.3618) (multiplicity 1)
O (0.0154, 0.3783, 0.2615) (multiplicity 2)
O (0.0359, 0.1590, 0.1453) (multiplicity 2)
O (0.0917, 0.1596, 0.3824) (multiplicity 2)
O (0.1580, 0.5000, 0.4544) (multiplicity 1)
O (0.1715, 0.3757, 0.7892) (multiplicity 2)
O (0.1724, 0.1630, 0.6644) (multiplicity 2)
O (0.3016, 0.5000, 0.9799) (multiplicity 1)
O (0.3224, 0.0000, 0.9894) (multiplicity 1)
O (0.4512, 0.3352, 0.3079) (multiplicity 2)
O (0.4534, 0.1249, 0.1790) (multiplicity 2)
O (0.4655, 0.0000, 0.5184) (multiplicity 1)
O (0.5310, 0.3398, 0.5900) (multiplicity 2)
O (0.5887, 0.3409, 0.8274) (multiplicity 2)
O (0.6050, 0.1216, 0.7125) (multiplicity 2)
O (0.6494, 0.3317, 0.1076) (multiplicity 2)
O (0.6887, 0.0000, 0.0366) (multiplicity 1)
O (0.7584, 0.1938, 0.2966) (multiplicity 2)
O (0.7926, 0.5000, 0.4129) (multiplicity 1)
O (0.8311, 0.0000, 0.5634) (multiplicity 1)
O (0.8646, 0.3044, 0.6756) (multiplicity 2)
O (0.9353, 0.5000, 0.9315) (multiplicity 1)
O (0.9780, 0.1697, 0.8659) (multiplicity 2)

***

5.
For RbErP2O7, DFT lattice parameters and positions (PBE) gives the calculated powder diffractogram in this record (Cu Kα X-rays).
Lines closer than 0.1° are merged.

Top 8 peaks for 10° ≤ 2θ ≤ 80°, by angle:
| 2θ (°) | I/Imax | hkl |
| --- | --- | --- |
| 14.60 | 40.8 | 1 1 0 |
| 16.12 | 70.1 | 1 1 -1 |
| 21.49 | 60.4 | 0 0 2 |
| 24.27 | 39.0 | 2 0 0 |
| 27.61 | 92.0 | 1 3 0 |
| 28.66 | 67.8 | 1 1 2 |
| 29.06 | 100.0 | 2 2 -1 |
| 32.61 | 39.6 | 1 1 -3 |

Crystal structure
Cell lengths 7.6039, 10.7962, 8.5727 Å; angles 90.00, 105.28, 90.00 degrees
Space group P2_1/c (No. 14)
Asymmetric unit:
Rb (0.1904, 0.1845, 0.0566) (multiplicity 4)
Er (0.2309, 0.5954, 0.2535) (multiplicity 4)
P (0.1344, 0.5985, 0.8161) (multiplicity 4)
P (0.4463, 0.6422, 0.6892) (multiplicity 4)
O (0.0197, 0.0031, 0.2124) (multiplicity 4)
O (0.0762, 0.7272, 0.7457) (multiplicity 4)
O (0.1352, 0.5904, 0.9923) (multiplicity 4)
O (0.3375, 0.6078, 0.5189) (multiplicity 4)
O (0.3438, 0.5739, 0.8109) (multiplicity 4)
O (0.3611, 0.0886, 0.7642) (multiplicity 4)
O (0.4537, 0.7193, 0.2262) (multiplicity 4)

***

6.
For SrErPO, DFT lattice parameters and positions (PBE) gives the calculated powder diffractogram in this record (Cu Kα X-rays).
Lines closer than 0.1° are merged.

Top 8 peaks for 10° ≤ 2θ ≤ 80°, by angle:
| 2θ (°) | I/Imax | hkl |
| --- | --- | --- |
| 15.58 | 20.3 | 0 0 1 |
| 28.22 | 100.0 | 1 0 1 |
| 31.47 | 41.3 | 0 0 2 |
| 33.30 | 70.7 | 1 1 0 |
| 46.47 | 54.5 | 1 1 2 |
| 47.81 | 25.0 | 2 0 0 |
| 56.45 | 30.6 | 2 1 1 |
| 58.36 | 27.3 | 2 0 2 |

Crystal structure
Cell lengths 3.8049, 3.8049, 5.6863 Å; angles 90.00, 90.00, 90.00 degrees
Space group P4/mmm (No. 123)
Asymmetric unit:
Sr (0.0000, 0.0000, 0.0000) (multiplicity 1)
Er (0.5000, 0.5000, 0.5000) (multiplicity 1)
P (0.0000, 0.0000, 0.5000) (multiplicity 1)
O (0.5000, 0.5000, 0.0000) (multiplicity 1)

***

7.
For Er2PdO4, DFT lattice parameters and positions (PBE) gives the calculated powder diffractogram in this record (Cu Kα X-rays).
Lines closer than 0.1° are merged.

Top 8 peaks for 10° ≤ 2θ ≤ 80°, by angle:
| 2θ (°) | I/Imax | hkl |
| --- | --- | --- |
| 29.48 | 100.0 | 2 1 1 |
| 32.50 | 16.8 | 2 2 0 |
| 36.47 | 36.8 | 3 1 0 |
| 37.31 | 46.0 | 2 0 2 |
| 50.54 | 45.8 | 4 1 1 |
| 51.83 | 30.8 | 2 1 3 |
| 58.58 | 23.2 | 3 3 2 |
| 67.47 | 16.6 | 4 1 3 |

Crystal structure
Cell lengths 7.7918, 7.7918, 6.1356 Å; angles 90.00, 90.00, 90.00 degrees
Space group P4/ncc (No. 130, origin choice 2)
Asymmetric unit:
Er (0.0697, 0.5697, 0.2500) (multiplicity 8)
Pd (0.2500, 0.2500, 0.0606) (multiplicity 4)
O (0.0038, 0.6789, 0.9200) (multiplicity 16)

***

8.
For ErPt2O4, DFT lattice parameters and positions (PBE) gives the calculated powder diffractogram in this record (Cu Kα X-rays).
Lines closer than 0.1° are merged.

Top 8 peaks for 10° ≤ 2θ ≤ 80°, by angle:
| 2θ (°) | I/Imax | hkl |
| --- | --- | --- |
| 27.48 | 22.7 | 2 2 0 |
| 32.34 | 100.0 | 3 1 1 |
| 33.82 | 31.9 | 2 2 2 |
| 39.25 | 12.4 | 4 0 0 |
| 51.74 | 38.2 | 5 1 1 |
| 56.72 | 39.4 | 4 4 0 |
| 66.82 | 12.8 | 5 3 3 |
| 67.70 | 15.1 | 6 2 2 |

Crystal structure
Cell lengths 9.1810, 9.1810, 9.1810 Å; angles 90.00, 90.00, 90.00 degrees
Space group Fd-3m (No. 227, origin choice 2)
Asymmetric unit:
Er (0.1250, 0.1250, 0.1250) (multiplicity 8)
Pt (0.0000, 0.0000, 0.5000) (multiplicity 16)
O (0.0114, 0.0114, 0.7386) (multiplicity 32)

***

9.
For Rb2ErO4, DFT lattice parameters and positions (PBE) gives the calculated powder diffractogram in this record (Cu Kα X-rays).
Lines closer than 0.1° are merged.

Top 8 peaks for 10° ≤ 2θ ≤ 80°, by angle:
| 2θ (°) | I/Imax | hkl |
| --- | --- | --- |
| 23.53 | 48.5 | 2 2 0 |
| 27.66 | 100.0 | 3 1 1 |
| 41.36 | 21.5 | 4 2 2 |
| 43.99 | 34.6 | 3 3 3 |
| 48.13 | 39.5 | 4 4 0 |
| 56.42 | 13.3 | 5 3 3 |
| 67.24 | 24.8 | 7 3 1 |
| 77.26 | 12.1 | 7 5 1 |

Crystal structure
Cell lengths 10.6946, 10.6946, 10.6946 Å; angles 90.00, 90.00, 90.00 degrees
Space group Fd-3m (No. 227, origin choice 2)
Asymmetric unit:
Rb (0.0000, 0.0000, 0.0000) (multiplicity 16)
Er (0.1250, 0.1250, 0.6250) (multiplicity 8)
O (0.0111, 0.0111, 0.7389) (multiplicity 32)

***

10.
For RbErO2, DFT lattice parameters and positions (PBE) gives the calculated powder diffractogram in this record (Cu Kα X-rays).
Lines closer than 0.1° are merged.

Top 8 peaks for 10° ≤ 2θ ≤ 80°, by angle:
| 2θ (°) | I/Imax | hkl |
| --- | --- | --- |
| 17.77 | 44.2 | 1 1 0 |
| 27.94 | 76.9 | 0 0 2 |
| 28.29 | 75.3 | 2 1 0 |
| 28.89 | 100.0 | 0 2 1 |
| 31.63 | 94.0 | 2 1 1 |
| 40.18 | 79.2 | 2 1 2 |
| 48.64 | 49.2 | 2 3 1 |
| 51.82 | 42.6 | 4 0 0 |

Crystal structure
Cell lengths 7.0517, 7.0625, 6.3867 Å; angles 90.00, 90.00, 90.00 degrees
Space group Pbcm (No. 57)
Asymmetric unit:
Rb (0.1312, 0.1050, 0.2500) (multiplicity 4)
Er (0.3627, 0.6643, 0.2500) (multiplicity 4)
O (0.1836, 0.7500, 0.0000) (multiplicity 4)
O (0.4186, 0.1313, 0.7500) (multiplicity 4)

***

11.
For RbErSO, DFT lattice parameters and positions (PBE) gives the calculated powder diffractogram in this record (Cu Kα X-rays).
Lines closer than 0.1° are merged.

Top 8 peaks for 10° ≤ 2θ ≤ 80°, by angle:
| 2θ (°) | I/Imax | hkl |
| --- | --- | --- |
| 25.09 | 72.3 | 1 1 -2 |
| 29.64 | 100.0 | 1 1 2 |
| 32.52 | 78.3 | 2 0 -2 |
| 35.47 | 50.7 | 1 1 -4 |
| 45.19 | 38.7 | 2 2 -1 |
| 51.34 | 24.1 | 0 2 5 |
| 52.38 | 19.9 | 1 3 1 |
| 54.96 | 25.9 | 1 3 -3 |

Crystal structure
Cell lengths 5.6749, 5.6744, 11.7547 Å; angles 90.00, 103.80, 90.00 degrees
Space group C2 (No. 5)
Asymmetric unit:
Rb (0.1859, 0.0000, 0.3876) (multiplicity 4)
Er (0.2062, 0.2444, 0.9101) (multiplicity 4)
S (0.1258, 0.4999, 0.2677) (multiplicity 4)
O (0.0000, 0.4936, 0.0000) (multiplicity 2)
O (0.0000, 0.9941, 0.0000) (multiplicity 2)